For MnTl3O6, a cell relaxed with GGA+U gives the theoretical powder diffractogram in this record (Cu Ka).

Largest 10 diffraction maxima, sorted by position, 10 to 80 degrees two-theta:
2θ = 19.0°, rel. 20, (1 1 0); 2θ = 23.5°, rel. 34, (0 0 3); 2θ = 30.2°, rel. 100, (2 1 1); 2θ = 30.3°, rel. 50, (1 1 3); 2θ = 33.2°, rel. 51, (3 -2 2); 2θ = 43.3°, rel. 19, (4 -1 2); 2θ = 43.4°, rel. 20, (2 1 4); 2θ = 51.7°, rel. 23, (1 4 0); 2θ = 52.0°, rel. 19, (2 -1 6); 2θ = 57.5°, rel. 16, (5 -1 3)

Crystal structure
a b c (Å): 9.3579 9.3579 11.3766
angles (deg): 90.00 90.00 120.00
Space group R-3 (No. 148, hexagonal axes)
Unique sites:
Mn: 0.0000 0.0000 0.0000 x3
Mn: 0.0000 0.0000 0.5000 x3
Tl: 0.0403 0.2635 0.2112 x18
O: 0.0226 0.1866 0.8826 x18
O: 0.0325 0.1929 0.4065 x18